The following is a calculated PXRD pattern of Zn5Ir2. It was derived from a crystal structure in Alexandria, relaxed with PBE, using Cu Kα, 1.54184 Å.
Lines closer than 0.1° are merged.

Peak list (10 most intense, 15 to 90 degrees two-theta, low angle first)
d/Å, 2theta, I_rel
3.605, 24.70, 46
3.250, 27.44, 22
2.922, 30.60, 22
2.435, 36.92, 32
2.292, 39.31, 32
2.203, 40.97, 65
2.161, 41.81, 96
2.102, 43.02, 100
2.033, 44.56, 65
1.349, 69.70, 24

Structure:
Unit cell a=6.6890 b=6.6890 c=7.1123 alpha=96.77 beta=96.77 gamma=40.08
Positions (direct):
1 Zn 0.0558 0.6922 0.0404
2 Zn 0.1284 0.4431 0.6720
3 Zn 0.1989 0.8011 0.7500
4 Zn 0.3078 0.9442 0.4596
5 Zn 0.4431 0.1284 0.1720
6 Zn 0.5569 0.8716 0.8280
7 Zn 0.6922 0.0558 0.5404
8 Zn 0.8011 0.1989 0.2500
9 Zn 0.8716 0.5569 0.3280
10 Zn 0.9442 0.3078 0.9596
11 Ir 0.2313 0.6024 0.3951
12 Ir 0.3976 0.7687 0.1049
13 Ir 0.6024 0.2313 0.8951
14 Ir 0.7687 0.3976 0.6049



The following is a calculated PXRD pattern of ZnIr2. It was derived from a crystal structure in Alexandria, relaxed with PBE, using Cu Kα, 1.54184 Å.
Lines closer than 0.1° are merged.

Peak list (10 most intense, 15 to 90 degrees two-theta, low angle first)
d/Å, 2theta, I_rel
2.374, 37.89, 25
2.314, 38.92, 12
2.234, 40.38, 41
2.097, 43.15, 100
2.070, 43.74, 49
1.627, 56.57, 16
1.356, 69.31, 16
1.261, 75.34, 19
1.159, 83.39, 20
1.147, 84.43, 15

Structure:
Unit cell a=2.7572 b=14.0130 c=4.4671 alpha=90.00 beta=90.00 gamma=90.00
Positions (direct):
1 Zn 0.0000 0.2226 0.2500
2 Zn 0.0000 0.7774 0.7500
3 Zn 0.5000 0.2774 0.7500
4 Zn 0.5000 0.7226 0.2500
5 Ir 0.0000 0.1128 0.7500
6 Ir 0.0000 0.4440 0.7500
7 Ir 0.0000 0.5560 0.2500
8 Ir 0.0000 0.8872 0.2500
9 Ir 0.5000 0.0560 0.2500
10 Ir 0.5000 0.3872 0.2500
11 Ir 0.5000 0.6128 0.7500
12 Ir 0.5000 0.9440 0.7500



The following is a calculated PXRD pattern of Zn7Ir6. It was derived from a crystal structure in Alexandria, relaxed with PBE, using Cu Kα, 1.54184 Å.
Lines closer than 0.1° are merged.

Peak list (10 most intense, 15 to 90 degrees two-theta, low angle first)
d/Å, 2theta, I_rel
2.429, 37.01, 100
2.256, 39.95, 68
2.133, 42.38, 90
2.105, 42.98, 42
2.097, 43.14, 26
1.367, 68.68, 27
1.338, 70.38, 20
1.331, 70.81, 19
1.267, 74.94, 21
1.214, 78.81, 26

Structure:
Unit cell a=9.3427 b=9.3427 c=9.3427 alpha=30.14 beta=30.14 gamma=30.14
Positions (direct):
1 Zn 0.0000 0.0000 0.0000
2 Zn 0.0895 0.0895 0.5844
3 Zn 0.0895 0.5844 0.0895
4 Zn 0.4156 0.9105 0.9105
5 Zn 0.5844 0.0895 0.0895
6 Zn 0.9105 0.4156 0.9105
7 Zn 0.9105 0.9105 0.4156
8 Ir 0.1656 0.1656 0.1656
9 Ir 0.3447 0.3447 0.3447
10 Ir 0.4532 0.4532 0.4532
11 Ir 0.5468 0.5468 0.5468
12 Ir 0.6553 0.6553 0.6553
13 Ir 0.8344 0.8344 0.8344



The following is a calculated PXRD pattern of Zn8Ir3. It was derived from a crystal structure in Alexandria, relaxed with PBE, using Cu Kα, 1.54184 Å.
Lines closer than 0.1° are merged.

Peak list (10 most intense, 15 to 90 degrees two-theta, low angle first)
d/Å, 2theta, I_rel
3.964, 22.43, 18
3.462, 25.74, 16
2.987, 29.91, 18
2.177, 41.48, 100
2.169, 41.64, 99
2.139, 42.24, 48
2.097, 43.15, 44
1.579, 58.46, 18
1.270, 74.72, 17
1.261, 75.36, 16

Structure:
Unit cell a=5.0069 b=5.0069 c=10.7148 alpha=103.51 beta=103.51 gamma=36.76
Positions (direct):
1 Zn 0.0447 0.0447 0.3211
2 Zn 0.1315 0.1315 0.9581
3 Zn 0.2270 0.2270 0.5915
4 Zn 0.3204 0.3204 0.2244
5 Zn 0.6796 0.6796 0.7756
6 Zn 0.7730 0.7730 0.4085
7 Zn 0.8685 0.8685 0.0419
8 Zn 0.9553 0.9553 0.6789
9 Ir 0.4055 0.4055 0.8544
10 Ir 0.5000 0.5000 0.5000
11 Ir 0.5945 0.5945 0.1456



The following is a calculated PXRD pattern of Zn6Ir. It was derived from a crystal structure in Alexandria, relaxed with PBE, using Cu Kα, 1.54184 Å.
Lines closer than 0.1° are merged.

Peak list (10 most intense, 15 to 90 degrees two-theta, low angle first)
d/Å, 2theta, I_rel
5.103, 17.38, 43
3.188, 27.99, 35
2.164, 41.75, 100
2.123, 42.59, 48
2.041, 44.39, 24
2.013, 45.02, 19
1.471, 63.23, 10
1.433, 65.08, 12
1.201, 79.90, 14
1.189, 80.81, 9

Structure:
Unit cell a=5.2053 b=5.2053 c=8.1633 alpha=90.00 beta=90.00 gamma=78.64
Positions (direct):
1 Zn 0.9997 0.4986 0.7500
2 Zn 0.0003 0.5014 0.2500
3 Zn 0.1987 0.8013 0.5008
4 Zn 0.1987 0.8013 0.9992
5 Zn 0.2883 0.2883 0.0000
6 Zn 0.2883 0.2883 0.5000
7 Zn 0.4986 0.9997 0.2500
8 Zn 0.5014 0.0003 0.7500
9 Zn 0.7117 0.7117 0.0000
10 Zn 0.7117 0.7117 0.5000
11 Zn 0.8013 0.1987 0.0008
12 Zn 0.8013 0.1987 0.4992
13 Ir 0.5004 0.4996 0.2500
14 Ir 0.4996 0.5004 0.7500



The following is a calculated PXRD pattern of Zn13Ir2. It was derived from a crystal structure in Alexandria, relaxed with PBE, using Cu Kα, 1.54184 Å.
Lines closer than 0.1° are merged.

Peak list (10 most intense, 15 to 90 degrees two-theta, low angle first)
d/Å, 2theta, I_rel
5.825, 15.21, 49
5.132, 17.28, 73
3.538, 25.17, 36
2.458, 36.56, 22
2.299, 39.19, 28
2.193, 41.17, 32
2.087, 43.35, 24
2.077, 43.57, 100
1.971, 46.04, 52
1.942, 46.78, 24

Structure:
Unit cell a=7.4762 b=7.4762 c=7.4762 alpha=56.48 beta=56.48 gamma=56.48
Positions (direct):
1 Zn 0.0000 0.0000 0.0000
2 Zn 0.0144 0.0144 0.6415
3 Zn 0.0144 0.6415 0.0144
4 Zn 0.2321 0.2321 0.5942
5 Zn 0.2321 0.5942 0.2321
6 Zn 0.3585 0.9856 0.9856
7 Zn 0.4058 0.7679 0.7679
8 Zn 0.5942 0.2321 0.2321
9 Zn 0.6415 0.0144 0.0144
10 Zn 0.7679 0.4058 0.7679
11 Zn 0.7679 0.7679 0.4058
12 Zn 0.9856 0.3585 0.9856
13 Zn 0.9856 0.9856 0.3585
14 Ir 0.2312 0.2312 0.2312
15 Ir 0.7688 0.7688 0.7688